# Ni5Te4Br2O12
Theoretical powder X-ray diffraction pattern, a wavelength of 1.5418 Å. Input: the GGA+U geometry in the Materials Project.

Crystal structure
```
Ni5Te4Br2O12
1.0
10.2323 -2.6562 0.0000
10.2323 2.6562 0.0000
-9.4166 0.0000 13.4982
Ni Te Br O
10 8 4 24
direct
0.1300 0.6977 0.5289
0.2080 0.7723 0.3778
0.2277 0.7920 0.1222
0.2470 0.7530 0.7500
0.3023 0.8700 0.9711
0.6977 0.1300 0.0289
0.7530 0.2470 0.2500
0.7723 0.2080 0.8778
0.7920 0.2277 0.6222
0.8700 0.3023 0.4711
0.1403 0.5728 0.1200
0.1949 0.5615 0.8638
0.4272 0.8597 0.3800
0.4385 0.8051 0.6362
0.5615 0.1949 0.3638
0.5728 0.1403 0.6200
0.8051 0.4385 0.1362
0.8597 0.4272 0.8800
0.0669 0.4585 0.4015
0.4585 0.0669 0.9015
0.5415 0.9331 0.0985
0.9331 0.5415 0.5985
0.0529 0.7638 0.9823
0.0695 0.0801 0.8546
0.0801 0.0695 0.3546
0.1270 0.7941 0.8565
0.2059 0.8730 0.6435
0.2233 0.5515 0.2493
0.2362 0.9471 0.5177
0.3099 0.5510 0.4301
0.4339 0.4408 0.6307
0.4408 0.4339 0.1307
0.4485 0.7767 0.2507
0.4490 0.6901 0.0699
0.5510 0.3099 0.9301
0.5515 0.2233 0.7493
0.5592 0.5661 0.8693
0.5661 0.5592 0.3693
0.6901 0.4490 0.5699
0.7638 0.0529 0.4823
0.7767 0.4485 0.7507
0.7941 0.1270 0.3565
0.8730 0.2059 0.1435
0.9199 0.9305 0.6454
0.9305 0.9199 0.1454
0.9471 0.2362 0.0177
```

Main lines, in order of falling intensity (2θ = 15–90°):
27.90 deg, I 1000; 26.42 deg, I 761; 33.75 deg, I 536; 35.33 deg, I 493; 32.13 deg, I 398; 35.10 deg, I 396; 23.75 deg, I 388; 28.72 deg, I 345; 28.85 deg, I 249; 45.84 deg, I 217; 36.18 deg, I 205; 57.36 deg, I 180